For Pr4Sb3, the GGA-PBE geometry in the Materials Project gives the simulated powder diffraction line list in this record (Cu Kα, 1.54184 Å).
Kinematic intensities with the Lorentz-polarization factor, no thermal factor.

Atomic structure:
Cell lengths 9.581, 9.581, 9.581 Å; angles 90.00, 90.00, 90.00 degrees
Space group I-43d (No. 220)
Inequivalent atoms, fractional coordinates:
Pr 0.070 0.430 0.570 [16 per cell]
Sb 0.000 0.250 0.875 [12 per cell]

Peak list (10 most intense, 15 to 90 degrees two-theta, sorted by position)
- (3 1 0), 29.48°, I = 100
- (3 2 1), 35.04°, I = 65
- (4 2 0), 42.18°, I = 11
- (4 2 2), 46.43°, I = 17
- (4 3 1), 48.44°, I = 23
- (6 1 1), 59.47°, I = 25
- (6 2 0), 61.18°, I = 12
- (5 4 1), 62.86°, I = 14
- (7 2 1), 72.49°, I = 16
- (7 5 0), 87.60°, I = 11